(1)
Simulated X-ray diffraction stick pattern
Compound: KMg6CO8
Radiation: a wavelength of 1.5418 Å
Structure: a crystal structure in the Materials Project, relaxed with GGA-PBE

Atomic structure:
abc: 4.8066 4.8066 7.8775
angles: 90.00 90.00 90.00
Fractional positions:
K1 0.0000 0.0000 0.0000
Mg1 0.0000 0.5000 0.2563
Mg2 0.0000 0.5000 0.7437
Mg3 0.5000 0.0000 0.2563
Mg4 0.5000 0.0000 0.7437
Mg5 0.5000 0.5000 0.0000
Mg6 0.5000 0.5000 0.5000
C1 0.0000 0.0000 0.5000
O1 0.0000 0.0000 0.3368
O2 0.0000 0.0000 0.6632
O3 0.0000 0.5000 0.0000
O4 0.0000 0.5000 0.5000
O5 0.5000 0.0000 0.0000
O6 0.5000 0.0000 0.5000
O7 0.5000 0.5000 0.2497
O8 0.5000 0.5000 0.7503

The 10 most intense peaks (2θ from 15° to 90°), in order of rising 2θ:
- 2θ 34.87, intensity 17
- 2θ 37.42, intensity 100
- 2θ 39.09, intensity 6
- 2θ 46.09, intensity 18
- 2θ 53.96, intensity 29
- 2θ 60.81, intensity 28
- 2θ 65.86, intensity 7
- 2θ 73.62, intensity 15
- 2θ 78.02, intensity 4
- 2θ 79.81, intensity 8

---

(2)
Simulated X-ray diffraction stick pattern
Compound: RbTeHOF4
Radiation: a wavelength of 1.5418 Å
Structure: a crystal structure in the Materials Project, relaxed with GGA-PBE

Atomic structure:
abc: 8.4305 8.4305 14.0756
angles: 94.11 94.11 34.38
Fractional positions:
Rb1 0.0823 0.9177 0.5000
Rb2 0.1983 0.3897 0.2365
Rb3 0.3897 0.1983 0.7365
Rb4 0.9177 0.0823 0.0000
Te1 0.5352 0.5772 0.2530
Te2 0.5772 0.5352 0.7530
Te3 0.7216 0.7556 0.9951
Te4 0.7556 0.7216 0.4951
H1 0.0924 0.8364 0.7430
H2 0.2078 0.4527 0.9952
H3 0.4527 0.2078 0.4952
H4 0.8364 0.0924 0.2430
O1 0.0304 0.6461 0.0220
O2 0.2737 0.6394 0.7192
O3 0.6394 0.2737 0.2192
O4 0.6461 0.0304 0.5220
F1 0.1331 0.5232 0.4654
F2 0.1522 0.7833 0.2823
F3 0.2857 0.9461 0.7385
F4 0.3575 0.9974 0.5269
F5 0.4495 0.6460 0.1103
F6 0.4545 0.6384 0.8916
F7 0.5232 0.1331 0.9654
F8 0.6188 0.8658 0.3587
F9 0.6384 0.4545 0.3916
F10 0.6444 0.8667 0.1358
F11 0.6460 0.4495 0.6103
F12 0.7833 0.1522 0.7823
F13 0.8658 0.6188 0.8587
F14 0.8667 0.6444 0.6358
F15 0.9461 0.2857 0.2385
F16 0.9974 0.3575 0.0269

The 10 most intense peaks (2θ from 15° to 90°), in order of rising 2θ:
- 2θ 18.64, intensity 50
- 2θ 22.14, intensity 94
- 2θ 22.33, intensity 94
- 2θ 22.81, intensity 66
- 2θ 25.38, intensity 100
- 2θ 26.97, intensity 76
- 2θ 28.14, intensity 59
- 2θ 33.18, intensity 46
- 2θ 42.69, intensity 42
- 2θ 43.44, intensity 39

---

(3)
Simulated X-ray diffraction stick pattern
Compound: UB4Os
Radiation: a wavelength of 1.5418 Å
Structure: a crystal structure in the Materials Project, relaxed with GGA-PBE

Atomic structure:
abc: 5.9664 5.9664 3.5415
angles: 90.00 90.00 104.05
Fractional positions:
U1 0.2003 0.7997 0.0000
U2 0.7997 0.2003 0.0000
B1 0.1160 0.4356 0.5000
B2 0.1198 0.1198 0.5000
B3 0.4071 0.5929 0.5000
B4 0.4356 0.1160 0.5000
B5 0.5644 0.8840 0.5000
B6 0.5929 0.4071 0.5000
B7 0.8802 0.8802 0.5000
B8 0.8840 0.5644 0.5000
Os1 0.3112 0.3112 0.0000
Os2 0.6888 0.6888 0.0000

The 10 most intense peaks (2θ from 15° to 90°), in order of rising 2θ:
- 2θ 25.15, intensity 68
- 2θ 30.90, intensity 54
- 2θ 31.01, intensity 33
- 2θ 37.99, intensity 18
- 2θ 40.28, intensity 100
- 2θ 46.10, intensity 24
- 2θ 46.35, intensity 13
- 2θ 51.62, intensity 14
- 2θ 61.41, intensity 27
- 2θ 68.23, intensity 19

---

(4)
Simulated X-ray diffraction stick pattern
Compound: BaYBr5
Radiation: a wavelength of 1.5418 Å
Structure: a crystal structure in the Materials Project, relaxed with GGA-PBE

Atomic structure:
abc: 12.9132 10.7921 18.9677
angles: 90.00 128.98 90.00
Fractional positions:
Ba1 0.1678 0.2173 0.3575
Ba2 0.1678 0.2827 0.8575
Ba3 0.2916 0.7299 0.5435
Ba4 0.2916 0.7701 0.0435
Ba5 0.7084 0.2299 0.9565
Ba6 0.7084 0.2701 0.4565
Ba7 0.8322 0.7173 0.1425
Ba8 0.8322 0.7827 0.6425
Y1 0.2854 0.2204 0.6599
Y2 0.2854 0.2796 0.1599
Y3 0.2927 0.6951 0.3100
Y4 0.2927 0.8049 0.8100
Y5 0.7073 0.1951 0.1900
Y6 0.7073 0.3049 0.6900
Y7 0.7146 0.7204 0.8401
Y8 0.7146 0.7796 0.3401
Br1 0.0531 0.2204 0.6377
Br2 0.0531 0.2796 0.1377
Br3 0.0875 0.7302 0.1287
Br4 0.0875 0.7698 0.6287
Br5 0.1323 0.5519 0.3306
Br6 0.1323 0.9481 0.8306
Br7 0.2131 0.6008 0.8548
Br8 0.2131 0.8992 0.3548
Br9 0.2251 0.0419 0.5318
Br10 0.2251 0.4581 0.0318
Br11 0.2309 0.0903 0.0436
Br12 0.2309 0.4097 0.5436
Br13 0.3892 0.0236 0.7909
Br14 0.3892 0.4764 0.2909
Br15 0.4005 0.1366 0.3139
Br16 0.4005 0.3634 0.8139
Br17 0.4405 0.6819 0.7678
Br18 0.4405 0.8181 0.2678
Br19 0.4916 0.1849 0.0051
Br20 0.4916 0.3151 0.5051
Br21 0.5084 0.6849 0.4949
Br22 0.5084 0.8151 0.9949
Br23 0.5595 0.1819 0.7322
Br24 0.5595 0.3181 0.2322
Br25 0.5995 0.6366 0.1861
Br26 0.5995 0.8634 0.6861
Br27 0.6108 0.5236 0.7091
Br28 0.6108 0.9764 0.2091
Br29 0.7691 0.5903 0.4564
Br30 0.7691 0.9097 0.9564
Br31 0.7749 0.5419 0.9682
Br32 0.7749 0.9581 0.4682
Br33 0.7869 0.1008 0.6452
Br34 0.7869 0.3992 0.1452
Br35 0.8677 0.0519 0.1694
Br36 0.8677 0.4481 0.6694
Br37 0.9125 0.2302 0.3713
Br38 0.9125 0.2698 0.8713
Br39 0.9469 0.7204 0.8623
Br40 0.9469 0.7796 0.3623

The 10 most intense peaks (2θ from 15° to 90°), in order of rising 2θ:
- 2θ 16.43, intensity 66
- 2θ 17.67, intensity 29
- 2θ 28.47, intensity 66
- 2θ 29.52, intensity 58
- 2θ 30.66, intensity 100
- 2θ 30.80, intensity 39
- 2θ 31.32, intensity 38
- 2θ 31.86, intensity 44
- 2θ 32.45, intensity 33
- 2θ 43.99, intensity 27